Entry 1:
# CsMgInF6
Computed X-ray diffraction stick pattern, Cu Kα (λ = 1.5418 Å). Input: the GGA-PBE geometry in the Materials Project.
Kinematic intensities with the Lorentz-polarization factor, no thermal factor.

The 10 most intense peaks (2θ from 10° to 90°), by angle:
16.45 deg, intensity 23
23.26 deg, intensity 33
23.67 deg, intensity 27
26.96 deg, intensity 100
27.30 deg, intensity 23
27.55 deg, intensity 57
28.96 deg, intensity 23
36.44 deg, intensity 19
43.69 deg, intensity 28
47.56 deg, intensity 40

Structural model:
Lattice parameters (Å, degrees): 7.651 7.651 7.651 121.15 118.37 90.43
Fractional coordinates of all 18 atoms:
Cs 0.357 0.107 0.250
Cs 0.643 0.893 0.750
Mg 0.000 0.000 0.500
Mg 0.000 0.500 0.000
In 0.000 0.500 0.500
In 0.500 0.500 0.000
F 0.051 0.801 0.250
F 0.058 0.418 0.232
F 0.058 0.826 0.640
F 0.314 0.174 0.732
F 0.314 0.582 0.140
F 0.333 0.583 0.750
F 0.667 0.417 0.250
F 0.686 0.418 0.860
F 0.686 0.826 0.268
F 0.942 0.174 0.360
F 0.942 0.582 0.768
F 0.949 0.199 0.750

=====

Entry 2:
# Eu3Ti
Computed X-ray diffraction stick pattern, Cu Kα (λ = 1.5418 Å). Input: the GGA-PBE geometry in the Materials Project.
Kinematic intensities with the Lorentz-polarization factor, no thermal factor.

The 10 most intense peaks (2θ from 10° to 90°), by angle:
19.23 deg, intensity 12
29.97 deg, intensity 100
34.60 deg, intensity 17
34.81 deg, intensity 34
49.90 deg, intensity 24
50.06 deg, intensity 12
59.17 deg, intensity 14
59.45 deg, intensity 28
62.28 deg, intensity 12
81.11 deg, intensity 12

Structural model:
Lattice parameters (Å, degrees): 5.154 5.154 10.369 90.00 90.00 90.00
Fractional coordinates of all 8 atoms:
Eu 0.000 0.000 0.000
Eu 0.000 0.500 0.250
Eu 0.000 0.500 0.750
Eu 0.500 0.000 0.250
Eu 0.500 0.000 0.750
Eu 0.500 0.500 0.500
Ti 0.000 0.000 0.500
Ti 0.500 0.500 0.000

=====

Entry 3:
# Ca11Ga7
Computed X-ray diffraction stick pattern, Cu Kα (λ = 1.5418 Å). Input: the GGA-PBE geometry in the Materials Project.
Kinematic intensities with the Lorentz-polarization factor, no thermal factor.

The 10 most intense peaks (2θ from 10° to 90°), by angle:
10.98 deg, intensity 30
19.08 deg, intensity 47
28.79 deg, intensity 28
31.40 deg, intensity 51
32.88 deg, intensity 100
33.36 deg, intensity 92
36.57 deg, intensity 58
43.12 deg, intensity 65
47.90 deg, intensity 35
55.90 deg, intensity 23

Structural model:
Lattice parameters (Å, degrees): 11.395 11.395 11.395 60.00 60.00 60.00
Fractional coordinates of all 36 atoms:
Ca 0.000 0.000 0.000
Ca 0.000 0.000 0.335
Ca 0.000 0.000 0.665
Ca 0.000 0.335 0.000
Ca 0.000 0.335 0.665
Ca 0.000 0.665 0.000
Ca 0.000 0.665 0.335
Ca 0.111 0.630 0.630
Ca 0.335 0.000 0.000
Ca 0.335 0.000 0.665
Ca 0.335 0.665 0.000
Ca 0.370 0.370 0.370
Ca 0.370 0.370 0.889
Ca 0.370 0.889 0.370
Ca 0.500 0.500 0.500
Ca 0.630 0.111 0.630
Ca 0.630 0.630 0.111
Ca 0.630 0.630 0.630
Ca 0.665 0.000 0.000
Ca 0.665 0.000 0.335
Ca 0.665 0.335 0.000
Ca 0.889 0.370 0.370
Ga 0.191 0.191 0.191
Ga 0.191 0.191 0.428
Ga 0.191 0.428 0.191
Ga 0.281 0.281 0.719
Ga 0.281 0.719 0.281
Ga 0.281 0.719 0.719
Ga 0.428 0.191 0.191
Ga 0.572 0.809 0.809
Ga 0.719 0.281 0.281
Ga 0.719 0.281 0.719
Ga 0.719 0.719 0.281
Ga 0.809 0.572 0.809
Ga 0.809 0.809 0.572
Ga 0.809 0.809 0.809

=====

Entry 4:
# BiP3Pb3O12
Computed X-ray diffraction stick pattern, Cu Kα (λ = 1.5418 Å). Input: the GGA-PBE geometry in the Materials Project.
Kinematic intensities with the Lorentz-polarization factor, no thermal factor.

The 10 most intense peaks (2θ from 10° to 90°), by angle:
20.59 deg, intensity 74
26.66 deg, intensity 100
26.73 deg, intensity 22
31.66 deg, intensity 69
31.75 deg, intensity 20
41.84 deg, intensity 34
41.95 deg, intensity 16
43.63 deg, intensity 36
43.72 deg, intensity 28
53.38 deg, intensity 20

Structural model:
Lattice parameters (Å, degrees): 9.163 9.163 9.133 109.51 109.51 109.42
Fractional coordinates of all 38 atoms:
Bi 0.166 0.834 0.500
Bi 0.834 0.166 0.000
P 0.083 0.958 0.876
P 0.201 0.581 0.131
P 0.457 0.713 0.746
P 0.581 0.201 0.631
P 0.713 0.457 0.246
P 0.958 0.083 0.376
Pb 0.336 0.342 0.857
Pb 0.342 0.336 0.357
Pb 0.478 0.978 0.153
Pb 0.681 0.827 0.493
Pb 0.827 0.681 0.993
Pb 0.978 0.478 0.653
O 0.017 0.765 0.842
O 0.079 0.654 0.173
O 0.093 0.249 0.564
O 0.131 0.979 0.731
O 0.163 0.413 0.153
O 0.165 0.527 0.937
O 0.249 0.093 0.064
O 0.269 0.696 0.689
O 0.398 0.734 0.262
O 0.413 0.163 0.653
O 0.477 0.582 0.811
O 0.490 0.678 0.586
O 0.527 0.165 0.437
O 0.582 0.477 0.311
O 0.599 0.908 0.909
O 0.654 0.079 0.673
O 0.678 0.490 0.086
O 0.696 0.269 0.189
O 0.734 0.398 0.762
O 0.765 0.017 0.342
O 0.908 0.599 0.409
O 0.925 0.998 0.853
O 0.979 0.131 0.231
O 0.998 0.925 0.353

=====

- Number 2 is which compound?
  Eu3Ti